Entry 1:
Ce3Th3Si4: calculated powder diffraction line list (Cu Kα, 1.54184 Å), based on the GGA-PBE geometry in the Materials Project.

Top 10 peaks for 2θ = 10–90°, by intensity:
two_theta, intensity
33.7, 1000
31.6, 966
25.7, 580
36.7, 425
53.5, 332
26.9, 292
32.7, 252
48.5, 248
58.2, 225
43.6, 218

a b c (Å): 4.1557 7.7437 7.7437
angles (deg): 90.13 90.00 90.00
Positions (direct):
Ce1 0.0000 0.0000 0.0000
Ce2 0.5000 0.3163 0.8203
Ce3 0.5000 0.8203 0.3163
Th1 0.0000 0.1384 0.4988
Th2 0.0000 0.4988 0.1384
Th3 0.0000 0.6386 0.6386
Si1 0.5000 0.2041 0.2041
Si2 0.5000 0.4324 0.4324
Si3 0.5000 0.7073 0.9329
Si4 0.5000 0.9329 0.7073

Entry 2:
TmTe3O8: calculated powder diffraction line list (Cu Kα, 1.54184 Å), based on the GGA-PBE geometry in the Materials Project.

Top 10 peaks for 2θ = 10–90°, by intensity:
two_theta, intensity
28.0, 1000
28.5, 975
34.2, 283
31.8, 247
57.3, 211
45.8, 203
55.0, 202
33.5, 196
26.7, 196
47.6, 171

a b c (Å): 6.8600 6.8600 10.4831
angles (deg): 113.76 113.76 47.98
Positions (direct):
Tm1 0.0609 0.9391 0.7500
Tm2 0.9391 0.0609 0.2500
Te1 0.1950 0.3657 0.1439
Te2 0.3657 0.1950 0.6439
Te3 0.5000 0.5000 0.0000
Te4 0.5000 0.5000 0.5000
Te5 0.6343 0.8050 0.3561
Te6 0.8050 0.6343 0.8561
O1 0.0733 0.2826 0.9142
O2 0.1337 0.6477 0.8673
O3 0.1790 0.6555 0.3295
O4 0.2817 0.5074 0.5961
O5 0.2826 0.0733 0.4142
O6 0.3445 0.8210 0.1705
O7 0.3523 0.8663 0.6327
O8 0.4926 0.7183 0.9039
O9 0.5074 0.2817 0.0961
O10 0.6477 0.1337 0.3673
O11 0.6555 0.1790 0.8295
O12 0.7174 0.9267 0.5858
O13 0.7183 0.4926 0.4039
O14 0.8210 0.3445 0.6705
O15 0.8663 0.3523 0.1327
O16 0.9267 0.7174 0.0858

Entry 3:
Y2C: calculated powder diffraction line list (Cu Kα, 1.54184 Å), based on the GGA-PBE geometry in the Materials Project.

Top 10 peaks for 2θ = 10–90°, by intensity:
two_theta, intensity
30.1, 1000
34.6, 833
29.1, 317
50.5, 290
59.3, 249
49.1, 244
14.4, 161
59.9, 139
62.7, 138
84.5, 117

a b c (Å): 6.4829 6.4829 6.4829
angles (deg): 32.39 32.39 32.39
Positions (direct):
Y1 0.2399 0.2399 0.2399
Y2 0.7601 0.7601 0.7601
C1 0.5000 0.5000 0.5000

Entry 4:
U2Si4Mo3: calculated powder diffraction line list (Cu Kα, 1.54184 Å), based on the GGA-PBE geometry in the Materials Project.

Top 10 peaks for 2θ = 10–90°, by intensity:
two_theta, intensity
41.8, 1000
34.7, 966
37.2, 763
37.9, 688
30.4, 468
37.5, 408
42.3, 377
18.8, 334
64.4, 329
29.8, 296

a b c (Å): 6.8958 6.9054 6.7443
angles (deg): 90.00 109.83 90.00
Positions (direct):
U1 0.1860 0.1642 0.0566
U2 0.1860 0.3358 0.5566
U3 0.8140 0.6642 0.4434
U4 0.8140 0.8358 0.9434
Si1 0.0906 0.5442 0.8716
Si2 0.0906 0.9558 0.3716
Si3 0.4981 0.6330 0.6333
Si4 0.4981 0.8670 0.1333
Si5 0.5019 0.1330 0.8667
Si6 0.5019 0.3670 0.3667
Si7 0.9094 0.0442 0.6284
Si8 0.9094 0.4558 0.1284
Mo1 0.2439 0.6637 0.2540
Mo2 0.2439 0.8363 0.7540
Mo3 0.5000 0.0000 0.5000
Mo4 0.5000 0.5000 0.0000
Mo5 0.7561 0.1637 0.2460
Mo6 0.7561 0.3363 0.7460

Entry 5:
In7Te10: calculated powder diffraction line list (Cu Kα, 1.54184 Å), based on the GGA-PBE geometry in the Materials Project.

Top 10 peaks for 2θ = 10–90°, by intensity:
two_theta, intensity
24.7, 1000
42.7, 633
24.0, 507
25.6, 367
44.9, 323
20.0, 311
37.2, 295
30.1, 273
27.2, 258
11.6, 258

a b c (Å): 10.9175 10.9175 10.9175
angles (deg): 88.70 88.70 88.70
Positions (direct):
In1 0.0733 0.0733 0.0733
In2 0.0746 0.3544 0.3806
In3 0.1697 0.3274 0.7490
In4 0.2510 0.6726 0.8303
In5 0.3274 0.7490 0.1697
In6 0.3544 0.3806 0.0746
In7 0.3806 0.0746 0.3544
In8 0.6194 0.6456 0.9254
In9 0.6456 0.9254 0.6194
In10 0.6726 0.8303 0.2510
In11 0.7490 0.1697 0.3274
In12 0.8303 0.2510 0.6726
In13 0.9254 0.6194 0.6456
In14 0.9267 0.9267 0.9267
Te1 0.0000 0.5984 0.4016
Te2 0.0637 0.8250 0.7216
Te3 0.0659 0.1692 0.5718
Te4 0.1692 0.5718 0.0659
Te5 0.1750 0.9363 0.2784
Te6 0.2784 0.1750 0.9363
Te7 0.3355 0.3355 0.3355
Te8 0.3362 0.5000 0.6638
Te9 0.4016 0.0000 0.5984
Te10 0.4282 0.8308 0.9341
Te11 0.5000 0.6638 0.3362
Te12 0.5718 0.0659 0.1692
Te13 0.5984 0.4016 0.0000
Te14 0.6638 0.3362 0.5000
Te15 0.6645 0.6645 0.6645
Te16 0.7216 0.0637 0.8250
Te17 0.8250 0.7216 0.0637
Te18 0.8308 0.9341 0.4282
Te19 0.9341 0.4282 0.8308
Te20 0.9363 0.2784 0.1750

Entry 6:
SnTePt: calculated powder diffraction line list (Cu Kα, 1.54184 Å), based on the GGA-PBE geometry in the Materials Project.

Top 10 peaks for 2θ = 10–90°, by intensity:
two_theta, intensity
45.6, 1000
30.3, 601
33.3, 462
27.0, 455
38.6, 376
74.8, 308
23.4, 280
51.8, 266
82.7, 225
63.0, 190

a b c (Å): 6.5982 6.5982 6.5982
angles (deg): 90.00 90.00 90.00
Positions (direct):
Sn1 0.1265 0.3735 0.6265
Sn2 0.3735 0.6265 0.1265
Sn3 0.6265 0.1265 0.3735
Sn4 0.8735 0.8735 0.8735
Te1 0.1263 0.1263 0.1263
Te2 0.3737 0.8737 0.6263
Te3 0.6263 0.3737 0.8737
Te4 0.8737 0.6263 0.3737
Pt1 0.0019 0.5019 0.9981
Pt2 0.4981 0.4981 0.4981
Pt3 0.5019 0.9981 0.0019
Pt4 0.9981 0.0019 0.5019

Entry 7:
Er2MgSe4: calculated powder diffraction line list (Cu Kα, 1.54184 Å), based on the GGA-PBE geometry in the Materials Project.

Top 10 peaks for 2θ = 10–90°, by intensity:
two_theta, intensity
31.3, 1000
33.4, 799
24.1, 591
41.3, 495
46.2, 477
29.9, 468
46.1, 410
43.5, 327
67.3, 265
18.8, 224

a b c (Å): 13.1670 7.8540 13.4052
angles (deg): 90.00 90.00 90.00
Positions (direct):
Er1 0.1079 0.1165 0.0000
Er2 0.1271 0.6179 0.6400
Er3 0.1336 0.3700 0.3044
Er4 0.1336 0.8702 0.3048
Er5 0.3664 0.3700 0.8044
Er6 0.3664 0.8702 0.8048
Er7 0.3729 0.6179 0.1400
Er8 0.3921 0.1165 0.5000
Er9 0.6079 0.8835 0.0000
Er10 0.6271 0.3821 0.6400
Er11 0.6336 0.1298 0.3048
Er12 0.6336 0.6300 0.3044
Er13 0.8664 0.1298 0.8048
Er14 0.8664 0.6300 0.8044
Er15 0.8729 0.3821 0.1400
Er16 0.8921 0.8835 0.5000
Mg1 0.1113 0.6175 0.0036
Mg2 0.1263 0.1215 0.6344
Mg3 0.3737 0.1215 0.1344
Mg4 0.3887 0.6175 0.5036
Mg5 0.6113 0.3825 0.0036
Mg6 0.6263 0.8785 0.6344
Mg7 0.8737 0.8785 0.1344
Mg8 0.8887 0.3825 0.5036
Se1 0.0133 0.1226 0.1915
Se2 0.0225 0.6249 0.1836
Se3 0.0333 0.6226 0.4443
Se4 0.0434 0.1249 0.4495
Se5 0.2114 0.1193 0.8172
Se6 0.2129 0.6195 0.8317
Se7 0.2314 0.8690 0.0901
Se8 0.2322 0.3659 0.0916
Se9 0.2678 0.3659 0.5916
Se10 0.2686 0.8690 0.5901
Se11 0.2871 0.6195 0.3317
Se12 0.2886 0.1193 0.3172
Se13 0.4566 0.1249 0.9495
Se14 0.4667 0.6226 0.9443
Se15 0.4775 0.6249 0.6836
Se16 0.4867 0.1226 0.6915
Se17 0.5133 0.8774 0.1915
Se18 0.5225 0.3751 0.1836
Se19 0.5333 0.3774 0.4443
Se20 0.5434 0.8751 0.4495
Se21 0.7114 0.8807 0.8172
Se22 0.7129 0.3805 0.8317
Se23 0.7314 0.1310 0.0901
Se24 0.7322 0.6341 0.0916
Se25 0.7678 0.6341 0.5916
Se26 0.7686 0.1310 0.5901
Se27 0.7871 0.3805 0.3317
Se28 0.7886 0.8807 0.3172
Se29 0.9566 0.8751 0.9495
Se30 0.9667 0.3774 0.9443
Se31 0.9775 0.3751 0.6836
Se32 0.9867 0.8774 0.6915

Entry 8:
CsLa3O5: calculated powder diffraction line list (Cu Kα, 1.54184 Å), based on the GGA-PBE geometry in the Materials Project.

Top 10 peaks for 2θ = 10–90°, by intensity:
two_theta, intensity
28.7, 1000
24.9, 841
34.6, 700
25.2, 665
30.2, 635
28.6, 537
26.6, 529
50.3, 423
32.1, 359
26.2, 347

a b c (Å): 10.9519 3.8001 18.6827
angles (deg): 90.00 90.00 90.00
Positions (direct):
Cs1 0.0312 0.2500 0.1258
Cs2 0.4688 0.7500 0.6258
Cs3 0.5312 0.2500 0.3742
Cs4 0.9688 0.7500 0.8742
La1 0.1114 0.2500 0.6641
La2 0.1542 0.7500 0.4891
La3 0.1847 0.2500 0.3168
La4 0.3153 0.7500 0.8168
La5 0.3458 0.2500 0.9891
La6 0.3886 0.7500 0.1641
La7 0.6114 0.2500 0.8359
La8 0.6542 0.7500 0.0109
La9 0.6847 0.2500 0.1832
La10 0.8153 0.7500 0.6832
La11 0.8458 0.2500 0.5109
La12 0.8886 0.7500 0.3359
O1 0.0232 0.2500 0.4204
O2 0.0698 0.7500 0.2713
O3 0.1928 0.7500 0.7143
O4 0.2252 0.2500 0.5522
O5 0.2298 0.2500 0.8848
O6 0.2702 0.7500 0.3848
O7 0.2748 0.7500 0.0522
O8 0.3072 0.2500 0.2143
O9 0.4302 0.2500 0.7713
O10 0.4768 0.7500 0.9204
O11 0.5232 0.2500 0.0796
O12 0.5698 0.7500 0.2287
O13 0.6928 0.7500 0.7857
O14 0.7252 0.2500 0.9478
O15 0.7298 0.2500 0.6152
O16 0.7702 0.7500 0.1152
O17 0.7748 0.7500 0.4478
O18 0.8072 0.2500 0.2857
O19 0.9302 0.2500 0.7287
O20 0.9768 0.7500 0.5796

Entry 9:
MgCo4Ge6: calculated powder diffraction line list (Cu Kα, 1.54184 Å), based on the GGA-PBE geometry in the Materials Project.

Top 10 peaks for 2θ = 10–90°, by intensity:
two_theta, intensity
45.4, 1000
34.1, 524
46.6, 491
46.7, 480
17.6, 450
29.0, 416
35.7, 328
41.4, 267
70.9, 221
82.9, 211

a b c (Å): 6.1584 6.1584 6.1584
angles (deg): 119.87 119.87 90.22
Positions (direct):
Mg1 0.0000 0.0000 0.0000
Co1 0.2425 0.5997 0.0000
Co2 0.4003 0.4003 0.6428
Co3 0.5997 0.2425 0.0000
Co4 0.7575 0.7575 0.3572
Ge1 0.0000 0.5000 0.5000
Ge2 0.1247 0.1247 0.6614
Ge3 0.4633 0.4633 0.3386
Ge4 0.5000 0.0000 0.5000
Ge5 0.5367 0.8753 0.0000
Ge6 0.8753 0.5367 0.0000

Entry 10:
ZrZnPt2: calculated powder diffraction line list (Cu Kα, 1.54184 Å), based on the GGA-PBE geometry in the Materials Project.

Top 7 peaks for 2θ = 10–90°, by intensity:
two_theta, intensity
39.3, 1000
71.2, 346
27.5, 199
56.8, 171
84.5, 111
64.2, 82
48.6, 60

a b c (Å): 4.5850 4.5850 4.5850
angles (deg): 60.00 60.00 60.00
Positions (direct):
Zr1 0.0000 0.0000 0.0000
Zn1 0.5000 0.5000 0.5000
Pt1 0.2500 0.2500 0.2500
Pt2 0.7500 0.7500 0.7500